1.
Starting from a cell relaxed with PBE+U, the powder diffraction line list of LaMnSbO was simulated for Cu Kα (λ = 1.5418 Å).

Top 8 peaks for 2θ from 10° to 80°, in order of rising 2θ:
| two_theta | I_rel |
| --- | --- |
| 27.61 | 100.0 |
| 29.24 | 30.1 |
| 30.68 | 14.8 |
| 34.62 | 53.3 |
| 41.82 | 36.5 |
| 47.80 | 17.9 |
| 50.85 | 36.7 |
| 55.35 | 15.7 |

Cell and atoms:
```
8
Lattice="4.3201 0.0000 0.0000 0.0000 4.3201 0.0000 0.0000 0.0000 9.7295" Properties=species:S:1:pos:R:3 pbc="T T T"
La 1.0800 1.0800 1.1116
La 3.2400 3.2400 8.6179
Mn 1.0800 3.2400 4.8647
Mn 3.2400 1.0800 4.8647
Sb 1.0800 1.0800 6.7014
Sb 3.2400 3.2400 3.0280
O 1.0800 3.2400 0.0000
O 3.2400 1.0800 0.0000
```

---

2.
Starting from a cell relaxed with PBE+U, the powder diffraction line list of Li4Mn3Nb2Sn3O16 was simulated for Cu Kα (λ = 1.5418 Å).

Top 8 peaks for 2θ from 10° to 80°, in order of rising 2θ:
| two_theta | I_rel |
| --- | --- |
| 17.73 | 57.4 |
| 18.46 | 50.1 |
| 18.63 | 100.0 |
| 24.21 | 37.4 |
| 31.57 | 37.5 |
| 33.86 | 49.6 |
| 34.35 | 64.7 |
| 42.98 | 42.7 |

Cell and atoms:
```
28
Lattice="5.4542 -3.1151 0.0000 5.4542 3.1151 0.0000 -0.0872 0.0000 10.0065" Properties=species:S:1:pos:R:3 pbc="T T T"
Li 0.0000 0.0000 0.0000
Li -0.0024 0.0000 5.1109
Li 3.5412 0.0000 5.9233
Li 7.3220 0.0000 0.8951
Mn 1.8280 0.0000 2.8170
Mn 6.2790 1.5281 7.8531
Mn 6.2790 -1.5281 7.8531
Nb 3.4516 0.0000 9.9896
Nb 7.0391 0.0000 5.1490
Sn 4.4951 1.5392 2.8042
Sn 4.4951 -1.5392 2.8042
Sn 8.9446 0.0000 7.7849
O 2.9066 1.3835 1.4593
O 4.3663 1.5288 9.0708
O 1.7762 0.0000 9.1505
O 6.2937 1.5118 4.0403
O 3.6707 0.0000 3.9289
O 5.2722 0.0000 1.5575
O 2.9066 -1.3835 1.4593
O 5.5857 0.0000 6.3527
O 8.0383 1.3431 6.3996
O 4.3663 -1.5288 9.0708
O 7.2499 0.0000 8.8950
O 6.2937 -1.5118 4.0403
O 9.1263 0.0000 3.9653
O 8.0383 -1.3431 6.3996
O 10.7690 0.0000 6.9430
O 10.8653 0.0000 1.8360
```

---

3.
Starting from a cell relaxed with PBE+U, the powder diffraction line list of Sr4PrMn5O15 was simulated for Cu Kα (λ = 1.5418 Å).

Top 8 peaks for 2θ from 10° to 80°, in order of rising 2θ:
| two_theta | I_rel |
| --- | --- |
| 22.89 | 3.5 |
| 32.60 | 100.0 |
| 40.21 | 16.2 |
| 46.77 | 37.2 |
| 58.18 | 37.7 |
| 68.29 | 17.7 |
| 77.68 | 5.4 |
| 77.79 | 10.7 |

Cell and atoms:
```
25
Lattice="8.2480 -2.7465 0.0000 8.2480 2.7465 0.0000 -1.8363 0.0000 6.4678" Properties=species:S:1:pos:R:3 pbc="T T T"
Sr 0.9246 0.0000 2.5925
Sr 4.5746 0.0000 1.2958
Sr 10.0851 0.0000 5.1720
Sr 13.7351 0.0000 3.8754
Pr 8.2480 0.0000 0.0000
Mn 0.0105 0.0000 5.8207
Mn 3.6552 0.0000 4.5180
Mn 7.3299 0.0000 3.2339
Mn 11.0045 0.0000 1.9498
Mn 14.6492 0.0000 0.6472
O 0.0000 0.0000 0.0000
O 3.2058 1.3732 3.2339
O 4.1904 1.3414 5.8376
O 1.8298 0.0000 5.1872
O 6.9116 1.3421 1.8935
O 7.7481 1.3421 4.5743
O 10.4693 1.3414 0.6302
O 5.5218 0.0000 3.9406
O 3.2058 -1.3732 3.2339
O 9.1379 0.0000 2.5273
O 4.1904 -1.3414 5.8376
O 6.9116 -1.3421 1.8935
O 7.7481 -1.3421 4.5743
O 12.8299 0.0000 1.2807
O 10.4693 -1.3414 0.6302
```

---

4.
Starting from a cell relaxed with PBE+U, the powder diffraction line list of Li9Mn2Co5O16 was simulated for Cu Kα (λ = 1.5418 Å).

Top 8 peaks for 2θ from 10° to 80°, in order of rising 2θ:
| two_theta | I_rel |
| --- | --- |
| 18.33 | 100.0 |
| 34.87 | 17.1 |
| 35.96 | 13.4 |
| 36.73 | 11.2 |
| 41.96 | 31.7 |
| 43.58 | 27.9 |
| 44.81 | 25.0 |
| 62.09 | 16.1 |

Cell and atoms:
```
32
Lattice="2.9909 0.0000 0.0000 0.2966 9.8892 0.0000 1.3765 2.8905 9.7876" Properties=species:S:1:pos:R:3 pbc="T T T"
Li 0.0000 0.0000 0.0000
Li 1.4083 5.4604 8.6088
Li 1.6651 10.9925 6.0868
Li 1.5915 6.5589 3.6327
Li 1.4856 2.0533 1.1521
Li 3.0581 10.4856 8.6096
Li 3.0343 6.1282 6.1004
Li 2.9322 1.5741 3.6320
Li 3.1541 7.0983 1.2331
Mn 1.4427 3.8135 4.8539
Mn 2.8771 3.2956 7.4065
Co 1.5500 8.2883 7.3308
Co 1.6990 9.3105 2.3401
Co 2.9819 7.7341 9.7785
Co 3.1232 8.7698 4.8474
Co 3.0461 4.3323 2.4092
O 1.5302 9.0751 9.0977
O 1.6784 12.0140 7.8773
O 1.3827 4.4805 6.7271
O 1.5765 7.4741 5.5513
O 1.6516 10.0123 4.1472
O 1.3909 3.0914 3.0392
O 1.7175 5.6000 1.7693
O 1.6921 8.4784 0.8105
O 2.8994 4.1330 9.0340
O 3.0180 7.0067 7.9895
O 3.0828 9.5577 6.6257
O 2.7788 2.5493 5.5302
O 3.0327 8.0176 3.1006
O 3.1088 5.1090 4.1944
O 3.0213 0.6368 1.8890
O 3.0838 3.5973 0.6498
```

---

5.
Starting from a cell relaxed with PBE+U, the powder diffraction line list of V3ZnP3O13 was simulated for Cu Kα (λ = 1.5418 Å).

Top 8 peaks for 2θ from 10° to 80°, in order of rising 2θ:
| two_theta | I_rel |
| --- | --- |
| 18.93 | 45.5 |
| 22.18 | 56.5 |
| 24.13 | 69.2 |
| 25.20 | 41.0 |
| 28.20 | 83.5 |
| 29.75 | 100.0 |
| 32.03 | 40.8 |
| 32.44 | 46.3 |

Cell and atoms:
```
40
Lattice="7.4948 0.0000 0.0000 0.0000 6.3283 0.0000 -1.7662 0.0000 10.6026" Properties=species:S:1:pos:R:3 pbc="T T T"
V 0.0000 0.0000 0.0000
V 0.0000 3.1642 0.0000
V 0.6964 1.5821 5.9025
V 2.3410 4.7463 2.1638
V 3.3876 1.5821 8.4388
V 5.0322 4.7463 4.7000
Zn 1.4540 4.7463 9.1271
Zn 4.2746 1.5821 1.4754
P 0.8075 4.7463 5.1406
P 1.5840 1.5821 2.4717
P 0.7920 1.5821 9.3115
P 4.9366 4.7463 1.2911
P 4.1446 4.7463 8.1309
P 4.9211 1.5821 5.4619
O -0.5677 4.7463 4.4199
O 0.4976 1.5821 1.3443
O 0.7317 4.7463 0.9732
O 0.9640 1.5821 3.8397
O 0.0332 0.2507 9.5769
O 0.0332 2.9135 9.5769
O 0.9722 3.5101 6.0563
O 0.9722 5.9824 6.0563
O 1.9223 4.7463 4.0770
O 1.3352 1.5821 7.8767
O 2.5828 0.4039 2.1717
O 2.5828 2.7603 2.1717
O 3.6051 4.7463 0.4570
O 2.1235 1.5821 10.1455
O 3.1458 3.5681 8.4308
O 3.1458 5.9244 8.4308
O 4.3934 4.7463 2.7259
O 3.8063 1.5821 6.5255
O 4.7564 0.3459 4.5463
O 4.7564 2.8182 4.5463
O 5.6954 3.4148 1.0256
O 5.6954 6.0777 1.0256
O 4.7646 4.7463 6.7629
O 4.9969 1.5821 9.6293
O 5.2310 4.7463 9.2582
O 6.2963 1.5821 6.1827
```

---

Repeat the fifth record exactly.
Starting from a cell relaxed with PBE+U, the powder diffraction line list of V3ZnP3O13 was simulated for Cu Kα (λ = 1.5418 Å).

Top 8 peaks for 2θ from 10° to 80°, in order of rising 2θ:
| two_theta | I_rel |
| --- | --- |
| 18.93 | 45.5 |
| 22.18 | 56.5 |
| 24.13 | 69.2 |
| 25.20 | 41.0 |
| 28.20 | 83.5 |
| 29.75 | 100.0 |
| 32.03 | 40.8 |
| 32.44 | 46.3 |

Cell and atoms:
```
40
Lattice="7.4948 0.0000 0.0000 0.0000 6.3283 0.0000 -1.7662 0.0000 10.6026" Properties=species:S:1:pos:R:3 pbc="T T T"
V 0.0000 0.0000 0.0000
V 0.0000 3.1642 0.0000
V 0.6964 1.5821 5.9025
V 2.3410 4.7463 2.1638
V 3.3876 1.5821 8.4388
V 5.0322 4.7463 4.7000
Zn 1.4540 4.7463 9.1271
Zn 4.2746 1.5821 1.4754
P 0.8075 4.7463 5.1406
P 1.5840 1.5821 2.4717
P 0.7920 1.5821 9.3115
P 4.9366 4.7463 1.2911
P 4.1446 4.7463 8.1309
P 4.9211 1.5821 5.4619
O -0.5677 4.7463 4.4199
O 0.4976 1.5821 1.3443
O 0.7317 4.7463 0.9732
O 0.9640 1.5821 3.8397
O 0.0332 0.2507 9.5769
O 0.0332 2.9135 9.5769
O 0.9722 3.5101 6.0563
O 0.9722 5.9824 6.0563
O 1.9223 4.7463 4.0770
O 1.3352 1.5821 7.8767
O 2.5828 0.4039 2.1717
O 2.5828 2.7603 2.1717
O 3.6051 4.7463 0.4570
O 2.1235 1.5821 10.1455
O 3.1458 3.5681 8.4308
O 3.1458 5.9244 8.4308
O 4.3934 4.7463 2.7259
O 3.8063 1.5821 6.5255
O 4.7564 0.3459 4.5463
O 4.7564 2.8182 4.5463
O 5.6954 3.4148 1.0256
O 5.6954 6.0777 1.0256
O 4.7646 4.7463 6.7629
O 4.9969 1.5821 9.6293
O 5.2310 4.7463 9.2582
O 6.2963 1.5821 6.1827
```